# 1
Diffraction record for KRbCaCl4. The powder X-ray diffraction pattern is computed, not measured: it uses a PBE-relaxed structure and copper Kα.
Peak positions follow from Bragg's law for the DFT cell and can differ from measured ones.

Most intense lines, 2θ = 5–70°, by intensity:
2θ 33.30, intensity 100.0
2θ 32.11, intensity 75.5
2θ 23.38, intensity 75.4
2θ 47.45, intensity 47.6
2θ 25.82, intensity 44.8
2θ 23.21, intensity 38.3
2θ 32.81, intensity 37.6
2θ 10.80, intensity 36.2
2θ 47.81, intensity 32.5
2θ 31.99, intensity 31.0

a b c (Å): 9.029 9.029 9.029
angles (deg): 145.33 145.33 49.85
Sites, in units of the cell vectors:
K 0.000 0.000 0.000
Rb 0.285 0.285 0.000
Ca 0.643 0.643 0.000
Cl 0.141 0.641 0.500
Cl 0.478 0.478 0.000
Cl 0.641 0.141 0.500
Cl 0.810 0.810 0.000

***

# 2
Diffraction record for KRb2CaCl6. The powder X-ray diffraction pattern is computed, not measured: it uses a PBE-relaxed structure and copper Kα.
Peak positions follow from Bragg's law for the DFT cell and can differ from measured ones.

Most intense lines, 2θ = 5–70°, by intensity:
2θ 31.51, intensity 100.0
2θ 27.20, intensity 84.2
2θ 22.14, intensity 75.8
2θ 45.16, intensity 65.8
2θ 38.84, intensity 33.9
2θ 53.52, intensity 31.2
2θ 56.10, intensity 21.5
2θ 61.05, intensity 18.9
2θ 50.84, intensity 17.1
2θ 65.77, intensity 9.6

a b c (Å): 8.035 8.035 8.035
angles (deg): 59.94 59.94 59.94
Sites, in units of the cell vectors:
K 0.000 0.000 0.000
Rb 0.250 0.250 0.250
Rb 0.750 0.750 0.750
Ca 0.500 0.500 0.500
Cl 0.263 0.263 0.737
Cl 0.263 0.737 0.263
Cl 0.263 0.737 0.737
Cl 0.737 0.263 0.263
Cl 0.737 0.263 0.737
Cl 0.737 0.737 0.263

***

# 3
Diffraction record for KCaTlCl4. The powder X-ray diffraction pattern is computed, not measured: it uses a PBE-relaxed structure and copper Kα.
Peak positions follow from Bragg's law for the DFT cell and can differ from measured ones.

Most intense lines, 2θ = 5–70°, by intensity:
2θ 23.48, intensity 100.0
2θ 33.45, intensity 65.0
2θ 32.47, intensity 63.6
2θ 17.45, intensity 49.8
2θ 26.00, intensity 42.2
2θ 48.03, intensity 40.6
2θ 41.27, intensity 38.8
2θ 11.00, intensity 34.6
2θ 54.13, intensity 18.7
2θ 59.19, intensity 18.2

a b c (Å): 8.889 8.889 8.889
angles (deg): 144.93 144.93 50.44
Sites, in units of the cell vectors:
K 0.000 0.000 0.000
Ca 0.360 0.360 0.000
Tl 0.712 0.712 0.000
Cl 0.192 0.192 0.000
Cl 0.367 0.867 0.500
Cl 0.531 0.531 0.000
Cl 0.867 0.367 0.500

***

# 4
Diffraction record for K2CaVCl6. The powder X-ray diffraction pattern is computed, not measured: it uses a PBE-relaxed structure and copper Kα.
Peak positions follow from Bragg's law for the DFT cell and can differ from measured ones.

Most intense lines, 2θ = 5–70°, by intensity:
2θ 34.72, intensity 100.0
2θ 49.91, intensity 61.4
2θ 29.95, intensity 57.1
2θ 24.36, intensity 37.4
2θ 17.16, intensity 31.6
2θ 62.23, intensity 19.3
2θ 59.31, intensity 17.2
2θ 42.86, intensity 14.8
2θ 38.97, intensity 12.4
2θ 56.29, intensity 7.0

a b c (Å): 7.309 7.309 7.309
angles (deg): 120.06 119.94 90.00
Sites, in units of the cell vectors:
K 0.249 0.249 0.000
K 0.751 0.751 0.000
Ca 0.500 0.000 0.500
V 0.000 0.500 0.500
Cl 0.239 0.260 0.500
Cl 0.239 0.740 0.979
Cl 0.240 0.740 0.500
Cl 0.760 0.260 0.500
Cl 0.761 0.260 0.021
Cl 0.761 0.740 0.500

***

# 5
Diffraction record for CaLa2Cl. The powder X-ray diffraction pattern is computed, not measured: it uses a PBE-relaxed structure and copper Kα.
Peak positions follow from Bragg's law for the DFT cell and can differ from measured ones.

Most intense lines, 2θ = 5–70°, by intensity:
2θ 30.35, intensity 100.0
2θ 8.84, intensity 84.9
2θ 27.87, intensity 83.8
2θ 35.09, intensity 79.0
2θ 47.50, intensity 39.7
2θ 33.23, intensity 35.7
2θ 26.03, intensity 34.5
2θ 26.75, intensity 29.8
2θ 59.60, intensity 27.9
2θ 50.02, intensity 25.8

a b c (Å): 3.650 3.644 10.161
angles (deg): 90.00 100.29 90.00
Sites, in units of the cell vectors:
Ca 0.000 0.000 0.000
La 0.280 0.000 0.564
La 0.647 0.500 0.297
Cl 0.415 0.500 0.832

***

# 6
Diffraction record for CaLa2Cl. The powder X-ray diffraction pattern is computed, not measured: it uses a PBE-relaxed structure and copper Kα.
Peak positions follow from Bragg's law for the DFT cell and can differ from measured ones.

Most intense lines, 2θ = 5–70°, by intensity:
2θ 29.95, intensity 100.0
2θ 8.34, intensity 55.8
2θ 35.16, intensity 35.8
2θ 26.08, intensity 31.3
2θ 59.89, intensity 26.7
2θ 49.59, intensity 18.4
2θ 25.21, intensity 14.8
2θ 33.83, intensity 13.7
2θ 43.75, intensity 13.3
2θ 49.89, intensity 12.4

a b c (Å): 3.610 3.610 10.598
angles (deg): 90.00 90.00 90.00
Sites, in units of the cell vectors:
Ca 0.000 0.000 0.000
La 0.000 0.000 0.461
La 0.500 0.500 0.709
Cl 0.500 0.500 0.142

***

# 7
Diffraction record for Ca2LaN2Cl2. The powder X-ray diffraction pattern is computed, not measured: it uses a PBE-relaxed structure and copper Kα.
Peak positions follow from Bragg's law for the DFT cell and can differ from measured ones.

Most intense lines, 2θ = 5–70°, by intensity:
2θ 36.74, intensity 100.0
2θ 27.49, intensity 93.0
2θ 12.24, intensity 65.9
2θ 54.86, intensity 58.3
2θ 39.27, intensity 49.6
2θ 20.30, intensity 46.0
2θ 26.83, intensity 36.2
2θ 48.20, intensity 15.7
2θ 64.19, intensity 15.5
2θ 56.74, intensity 15.4

a b c (Å): 7.924 7.924 7.924
angles (deg): 146.34 146.34 48.34
Sites, in units of the cell vectors:
Ca 0.108 0.108 0.000
Ca 0.892 0.892 0.000
La 0.500 0.500 0.000
N 0.000 0.500 0.500
N 0.500 0.000 0.500
Cl 0.300 0.300 0.000
Cl 0.700 0.700 0.000

***

# 8
Diffraction record for CaLa2S2Cl2. The powder X-ray diffraction pattern is computed, not measured: it uses a PBE-relaxed structure and copper Kα.
Peak positions follow from Bragg's law for the DFT cell and can differ from measured ones.

Most intense lines, 2θ = 5–70°, by intensity:
2θ 23.46, intensity 100.0
2θ 36.00, intensity 94.4
2θ 17.69, intensity 86.1
2θ 33.41, intensity 80.0
2θ 49.93, intensity 71.7
2θ 12.56, intensity 38.6
2θ 34.76, intensity 35.7
2θ 47.98, intensity 27.4
2θ 38.06, intensity 26.7
2θ 54.07, intensity 19.7

a b c (Å): 8.001 8.001 8.001
angles (deg): 140.84 140.84 56.59
Sites, in units of the cell vectors:
Ca 0.000 0.000 0.000
La 0.399 0.399 0.000
La 0.601 0.601 0.000
S 0.000 0.500 0.500
S 0.500 0.000 0.500
Cl 0.199 0.199 0.000
Cl 0.801 0.801 0.000

***

- What is the formula in the first record?
  KRbCaCl4